For Li3Fe2Si2O8, a PBE+U-relaxed structure gives the theoretical PXRD pattern in this record (Cu Kα, 1.54184 Å).
Neutral-atom scattering factors, no anomalous dispersion.

a b c (Å): 14.853 7.358 7.613
angles (deg): 90.00 119.91 90.00
Space group C2 (No. 5)
Asymmetric unit:
Li (0.000, 0.000, 0.000) [2 per cell]
Li (0.000, 0.474, 0.500) [2 per cell]
Li (0.121, 0.166, 0.427) [4 per cell]
Li (0.128, 0.665, 0.938) [4 per cell]
Fe (0.127, 0.670, 0.315) [4 per cell]
Fe (0.133, 0.157, 0.807) [4 per cell]
Si (0.000, 0.355, 0.000) [2 per cell]
Si (0.000, 0.848, 0.500) [2 per cell]
Si (0.245, 0.490, 0.740) [4 per cell]
O (0.002, 0.703, 0.330) [4 per cell]
O (0.007, 0.217, 0.837) [4 per cell]
O (0.101, 0.492, 0.115) [4 per cell]
O (0.104, 0.971, 0.592) [4 per cell]
O (0.140, 0.362, 0.627) [4 per cell]
O (0.145, 0.866, 0.164) [4 per cell]
O (0.246, 0.622, 0.565) [4 per cell]
O (0.248, 0.603, 0.925) [4 per cell]

Largest 10 diffraction maxima, sorted by position, 5 to 70 degrees two-theta:
| d/Å | Position (°2θ) | I (rel.) | index |
| --- | --- | --- | --- |
| 4.110 | 21.62 | 1000 | 1 1 1 |
| 4.065 | 21.86 | 878 | 3 1 -1 |
| 3.679 | 24.19 | 206 | 0 2 0 |
| 3.254 | 27.41 | 161 | 4 0 -2 |
| 3.194 | 27.93 | 160 | 2 2 0 |
| 2.764 | 32.40 | 296 | 3 1 1 |
| 2.736 | 32.73 | 413 | 5 1 -1 |
| 2.645 | 33.89 | 785 | 2 2 -2 |
| 1.554 | 59.49 | 209 | 1 3 3 |
| 1.539 | 60.11 | 214 | 7 3 -3 |